Li4Fe3Co3Cu2O16: theoretical XRD peak list (Cu Kα (weighted mean of Kα1 and Kα2)), based on a PBE+U-relaxed structure.

Largest 12 diffraction maxima, by angle, 2θ from 15° to 90°:
| (hkl) | Position (°2θ) | I (rel.) |
| --- | --- | --- |
| 0 0 2 | 18.75 | 91 |
| 0 1 -1 | 20.20 | 49 |
| 1 0 -1 | 20.33 | 100 |
| 0 1 2 | 26.03 | 26 |
| 1 0 2 | 26.13 | 25 |
| -1 1 3 | 33.68 | 38 |
| 1 -2 2 | 36.72 | 44 |
| 0 2 1 | 37.46 | 26 |
| 2 0 1 | 37.75 | 50 |
| 2 0 -3 | 46.65 | 27 |
| -2 2 3 | 46.81 | 27 |
| 2 -4 0 | 65.29 | 37 |

Crystal structure
```
data_Li4Fe3Co3Cu2O16
_chemical_formula_sum 'Li4 Fe3 Co3 Cu2 O16'
_space_group_name_H-M_alt 'P 1'
_space_group_IT_number 1
_cell_length_a 5.673
_cell_length_b 5.714
_cell_length_c 9.465
_cell_angle_alpha 90.02
_cell_angle_beta 90.20
_cell_angle_gamma 119.70
loop_
_space_group_symop_operation_xyz
'x,y,z'
loop_
_atom_site_label
_atom_site_type_symbol
_atom_site_fract_x
_atom_site_fract_y
_atom_site_fract_z
_atom_site_occupancy
Li1 Li 0.000 0.000 0.000 1
Li2 Li 0.001 0.008 0.502 1
Li3 Li 0.335 0.679 0.598 1
Li4 Li 0.662 0.338 0.097 1
Fe1 Fe 0.167 0.345 0.285 1
Fe2 Fe 0.660 0.840 0.284 1
Fe3 Fe 0.832 0.179 0.784 1
Co1 Co 0.166 0.838 0.283 1
Co2 Co 0.341 0.180 0.783 1
Co3 Co 0.833 0.674 0.786 1
Cu1 Cu 0.326 0.671 0.010 1
Cu2 Cu 0.664 0.344 0.511 1
O1 O 0.000 0.007 0.688 1
O2 O 0.031 0.527 0.165 1
O3 O 0.154 0.322 0.896 1
O4 O 0.158 0.842 0.888 1
O5 O 0.319 0.171 0.393 1
O6 O 0.331 0.673 0.390 1
O7 O 0.478 0.970 0.163 1
O8 O 0.479 0.524 0.163 1
O9 O 0.519 0.492 0.667 1
O10 O 0.521 0.048 0.663 1
O11 O 0.670 0.347 0.888 1
O12 O 0.675 0.840 0.889 1
O13 O 0.834 0.689 0.394 1
O14 O 0.835 0.173 0.392 1
O15 O 0.963 0.497 0.665 1
O16 O 0.997 0.008 0.186 1
```

Li4Fe3Co2Cu3O16: theoretical XRD peak list (Cu Kα (weighted mean of Kα1 and Kα2)), based on a PBE+U-relaxed structure.

Largest 12 diffraction maxima, by angle, 2θ from 15° to 90°:
| (hkl) | Position (°2θ) | I (rel.) |
| --- | --- | --- |
| 0 0 2 | 19.17 | 82 |
| 0 1 -1 | 20.08 | 100 |
| 1 1 1 | 20.14 | 27 |
| 1 1 -1 | 20.27 | 30 |
| 1 0 2 | 26.11 | 25 |
| 1 1 3 | 34.02 | 27 |
| 1 2 2 | 36.54 | 27 |
| 0 2 -1 | 37.00 | 46 |
| 2 0 -2 | 40.89 | 29 |
| 2 0 3 | 46.46 | 31 |
| 2 2 3 | 46.64 | 44 |
| 2 4 0 | 64.47 | 36 |

Crystal structure
```
data_Li4Fe3Co2Cu3O16
_chemical_formula_sum 'Li4 Fe3 Co2 Cu3 O16'
_space_group_name_H-M_alt 'P 1'
_space_group_IT_number 1
_cell_length_a 5.781
_cell_length_b 5.782
_cell_length_c 9.261
_cell_angle_alpha 89.67
_cell_angle_beta 89.56
_cell_angle_gamma 60.54
loop_
_space_group_symop_operation_xyz
'x,y,z'
loop_
_atom_site_label
_atom_site_type_symbol
_atom_site_fract_x
_atom_site_fract_y
_atom_site_fract_z
_atom_site_occupancy
Li1 Li 0.000 0.000 0.000 1
Li2 Li 0.019 0.007 0.506 1
Li3 Li 0.326 0.316 0.909 1
Li4 Li 0.675 0.664 0.402 1
Fe1 Fe 0.174 0.657 0.221 1
Fe2 Fe 0.667 0.164 0.221 1
Fe3 Fe 0.835 0.825 0.722 1
Co1 Co 0.347 0.335 0.494 1
Co2 Co 0.664 0.656 0.995 1
Cu1 Cu 0.176 0.164 0.223 1
Cu2 Cu 0.351 0.816 0.722 1
Cu3 Cu 0.828 0.341 0.721 1
O1 O 0.000 0.992 0.316 1
O2 O 0.014 0.004 0.806 1
O3 O 0.054 0.483 0.355 1
O4 O 0.179 0.660 0.600 1
O5 O 0.191 0.181 0.595 1
O6 O 0.327 0.822 0.104 1
O7 O 0.345 0.332 0.117 1
O8 O 0.489 0.476 0.344 1
O9 O 0.499 0.043 0.353 1
O10 O 0.521 0.507 0.869 1
O11 O 0.522 0.945 0.861 1
O12 O 0.668 0.657 0.614 1
O13 O 0.671 0.169 0.599 1
O14 O 0.824 0.323 0.110 1
O15 O 0.834 0.831 0.115 1
O16 O 0.955 0.514 0.862 1
```